# 1
Structure and calculated XRD peak list of Sr2CaZn (a crystal structure in Alexandria, relaxed with GGA-PBE; CuKα).
Lines closer than 0.1° are merged.

Crystal structure
abc: 10.809 10.809 10.809
angles: 150.26 150.26 42.56
Element x y z (fractional)
Sr (0.000, 0.500, 0.500)
Sr (0.158, 0.158, 0.000)
Sr (0.500, 0.000, 0.500)
Sr (0.842, 0.842, 0.000)
Ca (0.338, 0.338, 0.000)
Ca (0.662, 0.662, 0.000)
Zn (0.250, 0.750, 0.500)
Zn (0.750, 0.250, 0.500)

Most intense lines, 5 to 70 degrees two-theta, by intensity:
| 2θ (°) | I_rel |
| --- | --- |
| 28.85 | 1000 |
| 32.28 | 521 |
| 55.47 | 304 |
| 46.29 | 185 |
| 42.67 | 178 |
| 35.18 | 131 |
| 24.35 | 129 |
| 42.27 | 115 |

---

# 2
Structure and calculated XRD peak list of Ac2Tb7Er4 (a crystal structure in Alexandria, relaxed with GGA-PBE; CuKα).
Lines closer than 0.1° are merged.

Crystal structure
abc: 6.186 6.186 13.312
angles: 90.00 90.00 120.00
Element x y z (fractional)
Ac (0.333, 0.667, 0.000)
Ac (0.667, 0.333, 0.000)
Tb (0.000, 0.000, 0.000)
Tb (0.000, 0.359, 0.776)
Tb (0.000, 0.641, 0.224)
Tb (0.359, 0.000, 0.776)
Tb (0.359, 0.359, 0.224)
Tb (0.641, 0.000, 0.224)
Tb (0.641, 0.641, 0.776)
Er (0.000, 0.000, 0.395)
Er (0.000, 0.000, 0.605)
Er (0.333, 0.667, 0.500)
Er (0.667, 0.333, 0.500)

Most intense lines, 5 to 70 degrees two-theta, by intensity:
| 2θ (°) | I_rel |
| --- | --- |
| 31.90 | 1000 |
| 29.65 | 348 |
| 35.37 | 305 |
| 51.15 | 282 |
| 26.79 | 231 |
| 28.86 | 190 |
| 50.63 | 173 |
| 31.65 | 160 |

---

# 3
Structure and calculated XRD peak list of Tb2TeH2Se (a crystal structure in Alexandria, relaxed with GGA-PBE; CuKα).
Lines closer than 0.1° are merged.

Crystal structure
abc: 3.930 3.930 8.214
angles: 90.00 90.00 120.00
Element x y z (fractional)
Tb (0.333, 0.667, 0.235)
Tb (0.667, 0.333, 0.765)
Te (0.000, 0.000, 0.500)
H (0.333, 0.667, 0.757)
H (0.667, 0.333, 0.243)
Se (0.000, 0.000, 0.000)

Most intense lines, 5 to 70 degrees two-theta, by intensity:
| 2θ (°) | I_rel |
| --- | --- |
| 34.22 | 1000 |
| 28.39 | 933 |
| 46.20 | 442 |
| 42.37 | 284 |
| 65.78 | 280 |
| 58.74 | 208 |
| 44.10 | 155 |
| 55.12 | 149 |

---

# 4
Structure and calculated XRD peak list of Zr4ZnIr (a crystal structure in Alexandria, relaxed with GGA-PBE; CuKα).
Lines closer than 0.1° are merged.

Crystal structure
abc: 5.450 5.450 5.450
angles: 103.93 103.93 121.23
Element x y z (fractional)
Zr (0.090, 0.590, 0.180)
Zr (0.410, 0.910, 0.820)
Zr (0.590, 0.410, 0.500)
Zr (0.910, 0.090, 0.500)
Zn (0.500, 0.500, 0.000)
Ir (0.000, 0.000, 0.000)

Most intense lines, 5 to 70 degrees two-theta, by intensity:
| 2θ (°) | I_rel |
| --- | --- |
| 34.24 | 1000 |
| 42.57 | 603 |
| 38.64 | 511 |
| 43.25 | 482 |
| 18.68 | 266 |
| 68.93 | 261 |
| 21.24 | 234 |
| 37.89 | 215 |